This entry pairs a crystal structure of Mg6AlCr with its computed powder diffractogram. Radiation: Cu Kα. Structure: a crystal structure in Alexandria, relaxed with PBE.
Kinematic intensities with the Lorentz-polarization factor, no thermal factor.

Atomic structure:
```
data_Mg6AlCr
_chemical_formula_sum 'Mg12 Al2 Cr2'
_cell_length_a 4.929
_cell_length_b 6.191
_cell_length_c 10.770
_cell_angle_alpha 90.00
_cell_angle_beta 90.00
_cell_angle_gamma 90.00
_space_group_name_H-M_alt 'A m m 2'
_space_group_IT_number 38
loop_
_space_group_symop_operation_xyz
'x,y,z'
'-x,-y,z'
'-x,y,z'
'x,-y,z'
'x,y+1/2,z+1/2'
'-x,-y+1/2,z+1/2'
'-x,y+1/2,z+1/2'
'x,-y+1/2,z+1/2'
loop_
_atom_site_label
_atom_site_type_symbol
_atom_site_fract_x
_atom_site_fract_y
_atom_site_fract_z
Mg1 Mg 0.000 0.000 0.000
Mg2 Mg 0.000 0.244 0.253
Mg3 Mg 0.500 0.000 0.835
Mg4 Mg 0.500 0.246 0.585
Al1 Al 0.000 0.000 0.492
Cr1 Cr 0.500 0.000 0.344
```

Main lines, low angle first (15° ≤ 2θ ≤ 90°):
hkl	Position (°2θ)	d (Å)	I (rel.)
0 0 2	16.5	5.373	17
0 2 2	33.4	2.684	30
2 0 0	36.5	2.464	40
1 0 4	38.1	2.363	56
1 2 2	38.2	2.357	100
2 2 2	50.2	1.816	23
0 2 6	59.5	1.553	17
3 0 4	66.7	1.402	27
2 2 6	71.9	1.314	18
1 4 4	73.1	1.295	15